Starting from a DFT-relaxed cell (GGA-PBE, Alexandria), the powder X-ray diffraction pattern of ReNi15Pt6 was calculated for λ = 1.5418 Å (Cu Kα).
Intensities are scaled so that the largest is 100.

abc: 5.040 7.338 8.512
angles: 98.76 103.71 107.14
Space group P1 (No. 1)
Asymmetric unit:
Re (0.000, 0.000, 0.000)
Ni (0.057, 0.347, 0.964)
Ni (0.071, 0.680, 0.982)
Ni (0.118, 0.025, 0.729)
Ni (0.311, 0.372, 0.743)
Ni (0.337, 0.150, 0.496)
Ni (0.349, 0.815, 0.461)
Ni (0.357, 0.496, 0.502)
Ni (0.406, 0.581, 0.234)
Ni (0.622, 0.350, 0.352)
Ni (0.739, 0.733, 0.743)
Ni (0.789, 0.408, 0.684)
Ni (0.826, 0.726, 0.477)
Ni (0.847, 0.132, 0.500)
Ni (0.916, 0.567, 0.222)
Ni (0.948, 0.900, 0.270)
Pt (0.016, 0.251, 0.248)
Pt (0.219, 0.704, 0.715)
Pt (0.452, 0.965, 0.217)
Pt (0.513, 0.250, 0.017)
Pt (0.572, 0.669, 0.997)
Pt (0.642, 0.068, 0.749)

Peak list (10 most intense, 15 to 90 degrees two-theta, sorted by position)
(-1 1 2), 2θ 27.36, I 58
(1 2 -1), 2θ 35.84, I 48
(1 2 -2), 2θ 37.34, I 41
(1 -3 2), 2θ 42.15, I 57
(2 0 -3), 2θ 43.58, I 81
(0 3 1), 2θ 43.98, I 89
(2 0 1), 2θ 44.10, I 95
(0 0 4), 2θ 45.17, I 100
(2 -3 0), 2θ 45.48, I 69
(0 3 -3), 2θ 45.82, I 76